For Tb4Tl3Rh, a DFT-relaxed cell (GGA-PBE, Alexandria) gives the theoretical powder diffractogram in this record (λ = 1.5418 Å (Cu Kα)).
Lines closer than 0.1° are merged.

Atomic structure:
Cell lengths 3.851, 4.840, 11.556 Å; angles 90.00, 90.00, 90.00 degrees
Fractional positions:
Tb: 0.000 0.000 0.000
Tb: 0.000 0.500 0.249
Tb: 0.500 0.000 0.433
Tb: 0.500 0.500 0.762
Tl: 0.000 0.000 0.701
Tl: 0.000 0.500 0.523
Tl: 0.500 0.500 0.029
Rh: 0.500 0.000 0.195

Most intense lines, 2θ = 5–70°, by intensity:
d_spacing, two_theta, I (rel.)
2.916, 30.66, 100
2.374, 37.91, 67
2.420, 37.15, 36
2.481, 36.21, 30
2.889, 30.95, 25
1.926, 47.20, 21
1.507, 61.54, 19
1.855, 49.11, 14
2.723, 32.89, 14
1.521, 60.91, 14